No. 1
The following is a simulated XRD peak list of Li2PPbSe4. It was derived from DFT lattice parameters and positions (PBE), using copper Kα.
Intensities are scaled so that the largest is 100.

a = 7.913 Å, b = 7.913 Å, c = 7.913 Å
α = 121.44°, β = 119.23°, γ = 89.43°
Fractional positions:
Li: 0.000 0.000 0.000
Li: 0.500 0.000 0.000
Li: 0.500 0.000 0.500
Li: 0.500 0.500 0.500
P: 0.000 0.000 0.500
P: 0.000 0.500 0.000
Pb: 0.000 0.500 0.500
Pb: 0.500 0.500 0.000
Se: 0.218 0.239 0.979
Se: 0.237 0.211 0.475
Se: 0.237 0.762 0.025
Se: 0.241 0.761 0.479
Se: 0.759 0.239 0.521
Se: 0.763 0.238 0.975
Se: 0.763 0.789 0.525
Se: 0.782 0.761 0.021

The 10 most intense peaks (2θ from 10° to 90°), sorted by position:
2θ/deg, Rel. int.
13.89, 60
15.76, 25
26.29, 49
26.42, 23
31.83, 51
32.17, 100
34.78, 35
42.52, 18
45.31, 19
45.89, 70

---

No. 2
The following is a simulated XRD peak list of Li3P2Pd5. It was derived from DFT lattice parameters and positions (PBE), using copper Kα.
Intensities are scaled so that the largest is 100.

a = 8.240 Å, b = 8.240 Å, c = 8.240 Å
α = 97.57°, β = 95.70°, γ = 140.26°
Fractional positions:
Li: 0.230 0.630 0.860
Li: 0.250 0.250 0.000
Li: 0.270 0.130 0.399
Li: 0.730 0.870 0.601
Li: 0.750 0.750 0.000
Li: 0.770 0.370 0.140
P: 0.128 0.857 0.985
P: 0.372 0.357 0.729
P: 0.628 0.643 0.271
P: 0.872 0.143 0.015
Pd: 0.175 0.381 0.556
Pd: 0.250 0.002 0.752
Pd: 0.250 0.498 0.248
Pd: 0.250 0.750 0.500
Pd: 0.325 0.881 0.205
Pd: 0.675 0.119 0.795
Pd: 0.750 0.250 0.500
Pd: 0.750 0.502 0.752
Pd: 0.750 0.998 0.248
Pd: 0.825 0.619 0.444

The 10 most intense peaks (2θ from 10° to 90°), sorted by position:
2θ/deg, Rel. int.
11.42, 100
16.03, 42
24.21, 91
35.94, 69
36.88, 63
41.33, 22
46.13, 30
46.59, 54
46.90, 28
70.29, 24

---

No. 3
The following is a simulated XRD peak list of LiP2Pd8. It was derived from DFT lattice parameters and positions (PBE), using copper Kα.
Intensities are scaled so that the largest is 100.

a = 4.841 Å, b = 5.303 Å, c = 7.096 Å
α = 106.39°, β = 109.94°, γ = 91.21°
Fractional positions:
Li: 0.000 0.000 0.000
P: 0.154 0.510 0.810
P: 0.413 0.757 0.406
Pd: 0.042 0.687 0.535
Pd: 0.134 0.127 0.398
Pd: 0.407 0.159 0.857
Pd: 0.528 0.797 0.118
Pd: 0.557 0.343 0.282
Pd: 0.618 0.629 0.724
Pd: 0.765 0.125 0.626
Pd: 0.997 0.508 0.094

The 10 most intense peaks (2θ from 10° to 90°), sorted by position:
2θ/deg, Rel. int.
36.41, 33
37.16, 27
37.86, 22
39.26, 100
39.81, 63
39.97, 24
40.23, 43
41.74, 33
42.45, 26
45.31, 30

---

No. 4
The following is a simulated XRD peak list of Li3P2Pd7. It was derived from DFT lattice parameters and positions (PBE), using copper Kα.
Intensities are scaled so that the largest is 100.

a = 4.452 Å, b = 4.500 Å, c = 9.974 Å
α = 93.99°, β = 95.07°, γ = 102.40°
Fractional positions:
Li: 0.000 0.000 0.000
Li: 0.004 0.206 0.395
Li: 0.996 0.794 0.605
P: 0.391 0.254 0.783
P: 0.609 0.746 0.217
Pd: 0.057 0.596 0.179
Pd: 0.479 0.210 0.252
Pd: 0.483 0.736 0.431
Pd: 0.500 0.500 0.000
Pd: 0.517 0.264 0.569
Pd: 0.521 0.790 0.748
Pd: 0.943 0.404 0.821

The 10 most intense peaks (2θ from 10° to 90°), sorted by position:
2θ/deg, Rel. int.
20.29, 45
20.54, 100
21.49, 65
31.19, 46
35.54, 30
37.79, 74
39.09, 52
39.66, 57
41.44, 48
41.79, 59

---

No. 5
The following is a simulated XRD peak list of LiP2Pd6. It was derived from DFT lattice parameters and positions (PBE), using copper Kα.
Intensities are scaled so that the largest is 100.

a = 4.901 Å, b = 4.901 Å, c = 7.922 Å
α = 116.18°, β = 116.18°, γ = 52.63°
Fractional positions:
Li: 0.000 0.000 0.000
P: 0.325 0.325 0.735
P: 0.675 0.675 0.265
Pd: 0.046 0.046 0.692
Pd: 0.307 0.307 0.421
Pd: 0.370 0.370 0.062
Pd: 0.630 0.630 0.938
Pd: 0.693 0.693 0.579
Pd: 0.954 0.954 0.308

The 10 most intense peaks (2θ from 10° to 90°), sorted by position:
2θ/deg, Rel. int.
29.59, 25
30.56, 55
31.86, 26
38.07, 49
39.43, 24
40.68, 100
41.04, 100
41.56, 78
42.38, 20
43.19, 30

---

No. 6
The following is a simulated XRD peak list of Li2P6Pd21. It was derived from DFT lattice parameters and positions (PBE), using copper Kα.
Intensities are scaled so that the largest is 100.

a = 8.539 Å, b = 8.539 Å, c = 8.539 Å
α = 60.00°, β = 60.00°, γ = 60.00°
Fractional positions:
Li: 0.250 0.250 0.250
Li: 0.750 0.750 0.750
P: 0.235 0.235 0.765
P: 0.235 0.765 0.235
P: 0.235 0.765 0.765
P: 0.765 0.235 0.235
P: 0.765 0.235 0.765
P: 0.765 0.765 0.235
Pd: 0.118 0.118 0.118
Pd: 0.118 0.118 0.647
Pd: 0.118 0.647 0.118
Pd: 0.157 0.500 0.500
Pd: 0.157 0.500 0.843
Pd: 0.157 0.843 0.500
Pd: 0.353 0.882 0.882
Pd: 0.500 0.157 0.500
Pd: 0.500 0.157 0.843
Pd: 0.500 0.500 0.157
Pd: 0.500 0.500 0.500
Pd: 0.500 0.500 0.843
Pd: 0.500 0.843 0.157
Pd: 0.500 0.843 0.500
Pd: 0.647 0.118 0.118
Pd: 0.843 0.157 0.500
Pd: 0.843 0.500 0.157
Pd: 0.843 0.500 0.500
Pd: 0.882 0.353 0.882
Pd: 0.882 0.882 0.353
Pd: 0.882 0.882 0.882

The 10 most intense peaks (2θ from 10° to 90°), sorted by position:
2θ/deg, Rel. int.
20.81, 13
36.45, 10
38.75, 100
42.34, 18
44.38, 29
45.05, 25
65.60, 17
67.13, 14
77.44, 15
78.87, 9

---

No. 7
The following is a simulated XRD peak list of Li3PPd8. It was derived from DFT lattice parameters and positions (PBE), using copper Kα.
Intensities are scaled so that the largest is 100.

a = 6.922 Å, b = 6.922 Å, c = 6.922 Å
α = 131.60°, β = 131.60°, γ = 70.87°
Fractional positions:
Li: 0.000 0.000 0.000
Li: 0.250 0.750 0.500
Li: 0.750 0.250 0.500
P: 0.500 0.500 0.000
Pd: 0.131 0.131 0.509
Pd: 0.131 0.622 0.000
Pd: 0.378 0.378 0.509
Pd: 0.378 0.869 0.000
Pd: 0.622 0.131 0.000
Pd: 0.622 0.622 0.491
Pd: 0.869 0.378 0.000
Pd: 0.869 0.869 0.491

The 10 most intense peaks (2θ from 10° to 90°), sorted by position:
2θ/deg, Rel. int.
31.53, 100
31.73, 49
45.19, 45
45.34, 89
56.27, 37
74.82, 16
74.93, 16
75.26, 15
83.55, 29
83.87, 14

---

No. 8
The following is a simulated XRD peak list of LiP2Pd5. It was derived from DFT lattice parameters and positions (PBE), using copper Kα.
Intensities are scaled so that the largest is 100.

a = 6.301 Å, b = 6.301 Å, c = 6.301 Å
α = 144.21°, β = 114.61°, γ = 76.84°
Fractional positions:
Li: 0.000 0.000 0.000
P: 0.264 0.764 0.500
P: 0.736 0.236 0.500
Pd: 0.142 0.350 0.792
Pd: 0.442 0.650 0.792
Pd: 0.500 0.000 0.500
Pd: 0.558 0.350 0.208
Pd: 0.858 0.650 0.208

The 10 most intense peaks (2θ from 10° to 90°), sorted by position:
2θ/deg, Rel. int.
15.81, 91
35.81, 100
36.31, 91
44.90, 27
45.39, 44
45.58, 24
46.38, 41
46.93, 33
48.74, 23
67.35, 26

---

No. 9
The following is a simulated XRD peak list of LiTbP2Pd5. It was derived from DFT lattice parameters and positions (PBE), using copper Kα.
Intensities are scaled so that the largest is 100.

a = 4.127 Å, b = 4.127 Å, c = 8.702 Å
α = 90.00°, β = 90.00°, γ = 90.00°
Fractional positions:
Li: 0.000 0.000 0.000
Tb: 0.000 0.000 0.500
P: 0.500 0.500 0.121
P: 0.500 0.500 0.879
Pd: 0.000 0.500 0.257
Pd: 0.000 0.500 0.743
Pd: 0.500 0.000 0.257
Pd: 0.500 0.000 0.743
Pd: 0.500 0.500 0.500

The 10 most intense peaks (2θ from 10° to 90°), sorted by position:
2θ/deg, Rel. int.
10.16, 57
32.36, 11
37.10, 100
41.51, 15
43.88, 36
44.02, 16
61.99, 18
63.80, 12
72.82, 13
76.16, 24

---

No. 10
The following is a simulated XRD peak list of Li2PmPrP2. It was derived from DFT lattice parameters and positions (PBE), using copper Kα.
Intensities are scaled so that the largest is 100.

a = 4.168 Å, b = 4.168 Å, c = 7.834 Å
α = 90.00°, β = 90.00°, γ = 120.00°
Fractional positions:
Li: 0.333 0.667 0.247
Li: 0.667 0.333 0.753
Pm: 0.000 0.000 0.000
Pr: 0.000 0.000 0.500
P: 0.333 0.667 0.757
P: 0.667 0.333 0.243

The 10 most intense peaks (2θ from 10° to 90°), sorted by position:
2θ/deg, Rel. int.
22.70, 20
24.66, 67
33.77, 100
43.42, 30
49.54, 16
50.57, 10
53.21, 17
56.10, 23
65.39, 18
73.50, 21

---

No. 11
The following is a simulated XRD peak list of Li2PPt4. It was derived from DFT lattice parameters and positions (PBE), using copper Kα.
Intensities are scaled so that the largest is 100.

a = 6.748 Å, b = 6.748 Å, c = 5.340 Å
α = 90.06°, β = 90.06°, γ = 58.21°
Fractional positions:
Li: 0.035 0.297 0.499
Li: 0.297 0.035 0.999
Li: 0.703 0.965 0.001
Li: 0.965 0.703 0.501
P: 0.000 0.500 0.000
P: 0.500 0.000 0.500
Pt: 0.146 0.762 0.000
Pt: 0.238 0.854 0.500
Pt: 0.346 0.347 0.250
Pt: 0.347 0.346 0.750
Pt: 0.653 0.654 0.250
Pt: 0.654 0.653 0.750
Pt: 0.762 0.146 0.500
Pt: 0.854 0.238 0.000

The 10 most intense peaks (2θ from 10° to 90°), sorted by position:
2θ/deg, Rel. int.
26.43, 100
31.19, 37
31.37, 37
36.96, 36
37.14, 51
41.16, 29
42.00, 44
43.70, 63
44.19, 38
59.46, 36

---

No. 12
The following is a simulated XRD peak list of Rb2LiP2Pt. It was derived from DFT lattice parameters and positions (PBE), using copper Kα.
Intensities are scaled so that the largest is 100.

a = 9.033 Å, b = 9.033 Å, c = 9.033 Å
α = 140.82°, β = 58.77°, γ = 138.01°
Fractional positions:
Rb: 0.170 0.219 0.388
Rb: 0.330 0.719 0.049
Rb: 0.670 0.281 0.951
Rb: 0.830 0.781 0.612
Li: 0.250 0.250 0.000
Li: 0.750 0.750 0.000
P: 0.077 0.714 0.791
P: 0.423 0.214 0.637
P: 0.577 0.786 0.363
P: 0.923 0.286 0.209
Pt: 0.250 0.750 0.500
Pt: 0.750 0.250 0.500

The 10 most intense peaks (2θ from 10° to 90°), sorted by position:
2θ/deg, Rel. int.
11.24, 63
15.68, 100
22.42, 65
29.85, 42
30.40, 56
31.66, 35
31.86, 40
35.93, 34
37.47, 29
40.81, 47